This entry pairs a crystal structure of MnH12C8S2N2O2 with its theoretical powder diffraction line list. Radiation: CuKα. Structure: DFT lattice parameters and positions (PBE+U).

Structural model:
a b c (Å): 5.867 8.005 8.316
angles (deg): 107.42 101.12 95.13
Positions (direct):
1 Mn 0.000 0.000 0.000
2 H 0.032 0.517 0.738
3 H 0.118 0.650 0.455
4 H 0.175 0.335 0.649
5 H 0.382 0.578 0.200
6 H 0.401 0.767 0.124
7 H 0.456 0.793 0.351
8 H 0.544 0.207 0.649
9 H 0.599 0.233 0.876
10 H 0.618 0.422 0.800
11 H 0.825 0.665 0.351
12 H 0.882 0.350 0.545
13 H 0.968 0.483 0.262
14 C 0.007 0.374 0.670
15 C 0.096 0.722 0.224
16 C 0.348 0.715 0.221
17 C 0.409 0.835 0.807
18 C 0.591 0.165 0.193
19 C 0.652 0.285 0.779
20 C 0.904 0.278 0.776
21 C 0.993 0.626 0.330
22 S 0.359 0.213 0.267
23 S 0.641 0.787 0.733
24 N 0.238 0.868 0.859
25 N 0.762 0.132 0.141
26 O 0.029 0.197 0.856
27 O 0.971 0.803 0.144

Top 8 peaks for 10° ≤ 2θ ≤ 90°, by intensity:
2θ/deg  intensity  index
11.5  100.0  0 0 1
11.7  72.0  0 1 0
13.5  71.0  0 1 -1
27.4  68.4  1 1 1
17.1  57.5  1 0 -1
21.5  47.7  -1 1 1
22.6  44.7  0 2 -1
27.2  42.5  0 2 -2